Theoretical powder diffraction line list of BaMnTe4 for Cu Kα (λ = 1.5418 Å), from a crystal structure in Alexandria, relaxed with PBE.
Peak positions follow from Bragg's law for the DFT cell and can differ from measured ones.

The 10 most intense peaks (10 to 80 degrees two-theta), in order of falling intensity:
2theta	d [Å]	Rel. int.	h k l
32.1	2.789	100	3 1 1
33.6	2.671	50	2 2 2
51.3	1.780	35	5 1 1
56.3	1.635	31	4 4 0
79.6	1.204	21	5 5 3
67.1	1.395	20	6 2 2
27.3	3.271	18	2 2 0
16.6	5.341	18	1 1 1
66.2	1.411	12	5 3 3
38.9	2.313	9	4 0 0

Crystal structure
Lattice parameters (Å, degrees): 9.251 9.251 9.251 90.00 90.00 90.00
Space group F-43m (No. 216)
Unique sites:
Ba 0.000 0.000 0.000 [4 per cell]
Mn 0.250 0.250 0.750 [4 per cell]
Te 0.124 0.124 0.376 [16 per cell]


Theoretical powder diffraction line list of NaHg4Pb2 for Cu Kα (λ = 1.5418 Å), from a crystal structure in Alexandria, relaxed with PBE.
Peak positions follow from Bragg's law for the DFT cell and can differ from measured ones.

The 10 most intense peaks (10 to 80 degrees two-theta), in order of falling intensity:
2theta	d [Å]	Rel. int.	h k l
35.1	2.553	100	2 2 2
32.4	2.767	54	0 4 0
36.9	2.433	36	1 3 3
31.1	2.878	33	2 0 2
36.3	2.475	29	0 2 4
16.0	5.534	29	0 2 0
17.4	5.107	25	1 1 1
28.7	3.107	16	1 1 3
64.8	1.439	15	4 4 0
67.0	1.397	14	2 4 6

Crystal structure
Lattice parameters (Å, degrees): 6.739 11.054 11.083 90.00 90.00 90.00
Space group Fmmm (No. 69)
Unique sites:
Na 0.000 0.000 0.000 [4 per cell]
Hg 0.000 0.000 0.303 [8 per cell]
Hg 0.000 0.204 0.500 [8 per cell]
Pb 0.250 0.250 0.250 [8 per cell]


Theoretical powder diffraction line list of ErSiAg for Cu Kα (λ = 1.5418 Å), from a crystal structure in Alexandria, relaxed with PBE.
Peak positions follow from Bragg's law for the DFT cell and can differ from measured ones.

The 10 most intense peaks (10 to 80 degrees two-theta), in order of falling intensity:
2theta	d [Å]	Rel. int.	h k l
33.1	2.708	100	1 1 1
35.8	2.505	51	1 5 0
41.9	2.155	23	0 6 1
62.2	1.492	20	1 5 2
44.4	2.040	17	2 0 0
22.5	3.954	17	1 1 0
62.7	1.481	13	2 6 1
49.0	1.858	13	0 0 2
36.9	2.438	12	1 3 1
26.5	3.365	11	0 2 1

Crystal structure
Lattice parameters (Å, degrees): 4.079 15.869 3.716 90.00 90.00 90.00
Space group Cmcm (No. 63)
Unique sites:
Er 0.000 0.098 0.250 [4 per cell]
Si 0.000 0.454 0.250 [4 per cell]
Ag 0.000 0.289 0.250 [4 per cell]


Theoretical powder diffraction line list of KBr2O4 for Cu Kα (λ = 1.5418 Å), from a crystal structure in Alexandria, relaxed with PBE.
Peak positions follow from Bragg's law for the DFT cell and can differ from measured ones.

The 10 most intense peaks (10 to 80 degrees two-theta), in order of falling intensity:
2theta	d [Å]	Rel. int.	h k l
24.4	3.651	100	1 1 1
15.1	5.854	91	1 1 -1
34.2	2.620	85	1 3 -1
28.3	3.156	76	3 1 -1
27.0	3.303	68	0 0 2
25.4	3.511	59	0 2 1
36.7	2.449	47	1 1 2
43.8	2.067	39	4 0 0
30.5	2.927	38	2 2 0
21.5	4.134	36	2 0 0

Crystal structure
Lattice parameters (Å, degrees): 10.599 8.291 8.466 90.00 128.72 90.00
Space group Cc (No. 9)
Unique sites:
K 0.000 0.125 0.000 [4 per cell]
Br 0.036 0.459 0.278 [4 per cell]
Br 0.241 0.209 0.778 [4 per cell]
O 0.006 0.258 0.301 [4 per cell]
O 0.064 0.206 0.747 [4 per cell]
O 0.183 0.456 0.247 [4 per cell]
O 0.296 0.009 0.801 [4 per cell]